Entry 1:
Simulated X-ray diffraction stick pattern of LaMgMnFeO6 for copper Kα, from a crystal structure in the Materials Project, relaxed with GGA+U.
Intensities are scaled so that the largest is 100.

Structure:
```
data_LaMgMnFeO6
_cell_length_a 5.339
_cell_length_b 5.480
_cell_length_c 9.308
_cell_angle_alpha 90.00
_cell_angle_beta 124.72
_cell_angle_gamma 90.00
_space_group_name_H-M_alt 'P 1 c 1'
_space_group_IT_number 7
_space_group_name_Hall 'P -2yc'
loop_
_atom_site_label
_atom_site_type_symbol
_atom_site_fract_x
_atom_site_fract_y
_atom_site_fract_z
_atom_site_occupancy
La1 La 0.000 0.216 0.000 1
Mg1 Mg 0.466 0.305 0.500 1
Mn1 Mn 0.241 0.252 0.749 1
Fe1 Fe 0.743 0.250 0.252 1
O1 O 0.027 0.477 0.801 1
O2 O 0.111 0.046 0.307 1
O3 O 0.412 0.483 0.195 1
O4 O 0.484 0.055 0.692 1
O5 O 0.562 0.294 0.994 1
O6 O 0.870 0.230 0.505 1
```

Main lines, by intensity (10 to 80 degrees two-theta):
| Position (°2θ) | Rel. int. |
| --- | --- |
| 33.1 | 100 |
| 33.2 | 99 |
| 47.6 | 87 |
| 19.9 | 65 |
| 20.3 | 64 |
| 32.7 | 46 |
| 33.6 | 42 |
| 59.6 | 33 |

Entry 2:
Simulated X-ray diffraction stick pattern of MnSeO4 for copper Kα, from a crystal structure in the Materials Project, relaxed with GGA+U.
Intensities are scaled so that the largest is 100.

Structure:
```
data_MnSeO4
_cell_length_a 4.961
_cell_length_b 13.377
_cell_length_c 7.586
_cell_angle_alpha 90.00
_cell_angle_beta 130.68
_cell_angle_gamma 90.00
_space_group_name_H-M_alt 'P 1 21/c 1'
_space_group_IT_number 14
_space_group_name_Hall '-P 2ybc'
loop_
_atom_site_label
_atom_site_type_symbol
_atom_site_fract_x
_atom_site_fract_y
_atom_site_fract_z
_atom_site_occupancy
Mn1 Mn 0.143 0.232 0.242 1
Se1 Se 0.280 0.608 0.725 1
O1 O 0.064 0.198 0.955 1
O2 O 0.100 0.613 0.308 1
O3 O 0.389 0.143 0.777 1
O4 O 0.390 0.661 0.972 1
```

Main lines, by intensity (10 to 80 degrees two-theta):
| Position (°2θ) | Rel. int. |
| --- | --- |
| 31.1 | 100 |
| 13.2 | 52 |
| 20.4 | 47 |
| 19.1 | 45 |
| 26.9 | 18 |
| 22.3 | 17 |
| 38.6 | 17 |
| 41.9 | 15 |

Entry 3:
Simulated X-ray diffraction stick pattern of LiVSiO4 for copper Kα, from a crystal structure in the Materials Project, relaxed with GGA+U.
Intensities are scaled so that the largest is 100.

Structure:
```
data_LiVSiO4
_cell_length_a 5.514
_cell_length_b 5.906
_cell_length_c 8.459
_cell_angle_alpha 90.00
_cell_angle_beta 90.00
_cell_angle_gamma 90.00
_space_group_name_H-M_alt 'I m m a'
_space_group_IT_number 74
_space_group_name_Hall '-I 2b 2'
loop_
_atom_site_label
_atom_site_type_symbol
_atom_site_fract_x
_atom_site_fract_y
_atom_site_fract_z
_atom_site_occupancy
Li1 Li 0.000 0.250 0.120 1
V1 V 0.000 0.000 0.500 1
Si1 Si 0.250 0.250 0.750 1
O1 O 0.000 0.043 0.747 1
O2 O 0.240 0.250 0.537 1
```

Main lines, by intensity (10 to 80 degrees two-theta):
| Position (°2θ) | Rel. int. |
| --- | --- |
| 19.2 | 100 |
| 18.3 | 88 |
| 45.0 | 68 |
| 36.1 | 43 |
| 63.8 | 40 |
| 42.8 | 36 |
| 35.8 | 22 |
| 37.5 | 13 |

Entry 4:
Simulated X-ray diffraction stick pattern of Mg14TiCrO16 for copper Kα, from a crystal structure in the Materials Project, relaxed with GGA+U.
Intensities are scaled so that the largest is 100.

Structure:
```
data_Mg14TiCrO16
_cell_length_a 8.632
_cell_length_b 8.632
_cell_length_c 4.249
_cell_angle_alpha 90.00
_cell_angle_beta 90.00
_cell_angle_gamma 90.00
_space_group_name_H-M_alt 'P 4/m m m'
_space_group_IT_number 123
_space_group_name_Hall '-P 4 2'
loop_
_atom_site_label
_atom_site_type_symbol
_atom_site_fract_x
_atom_site_fract_y
_atom_site_fract_z
_atom_site_occupancy
Mg1 Mg 0.000 0.252 0.000 1
Mg2 Mg 0.000 0.500 0.500 1
Mg3 Mg 0.245 0.500 0.000 1
Mg4 Mg 0.249 0.249 0.500 1
Ti1 Ti 0.500 0.500 0.500 1
Cr1 Cr 0.000 0.000 0.500 1
O1 O 0.000 0.000 0.000 1
O2 O 0.000 0.261 0.500 1
O3 O 0.000 0.500 0.000 1
O4 O 0.248 0.500 0.500 1
O5 O 0.250 0.250 0.000 1
O6 O 0.500 0.500 0.000 1
```

Main lines, by intensity (10 to 80 degrees two-theta):
| Position (°2θ) | Rel. int. |
| --- | --- |
| 41.9 | 100 |
| 61.2 | 55 |
| 42.6 | 48 |
| 60.7 | 28 |
| 76.9 | 25 |
| 36.2 | 23 |
| 72.8 | 9 |
| 14.5 | 5 |

Entry 5:
Simulated X-ray diffraction stick pattern of BaCaEuWO6 for copper Kα, from a crystal structure in the Materials Project, relaxed with GGA+U.
Intensities are scaled so that the largest is 100.

Structure:
```
data_BaCaEuWO6
_cell_length_a 5.932
_cell_length_b 5.957
_cell_length_c 8.391
_cell_angle_alpha 90.74
_cell_angle_beta 90.45
_cell_angle_gamma 90.29
_space_group_name_H-M_alt 'P -1'
_space_group_IT_number 2
_space_group_name_Hall '-P 1'
loop_
_atom_site_label
_atom_site_type_symbol
_atom_site_fract_x
_atom_site_fract_y
_atom_site_fract_z
_atom_site_occupancy
Ba1 Ba 0.004 0.025 0.251 1
Ca1 Ca 0.000 0.500 0.500 1
Ca2 Ca 0.500 0.000 0.000 1
Eu1 Eu 0.494 0.540 0.253 1
W1 W 0.000 0.500 0.000 1
W2 W 0.500 0.000 0.500 1
O1 O 0.086 0.502 0.773 1
O2 O 0.197 0.759 0.038 1
O3 O 0.240 0.800 0.471 1
O4 O 0.261 0.306 0.045 1
O5 O 0.313 0.267 0.459 1
O6 O 0.442 0.035 0.729 1
```

Main lines, by intensity (10 to 80 degrees two-theta):
| Position (°2θ) | Rel. int. |
| --- | --- |
| 30.0 | 100 |
| 30.1 | 67 |
| 43.1 | 36 |
| 30.4 | 32 |
| 18.2 | 28 |
| 53.8 | 27 |
| 53.3 | 22 |
| 53.1 | 19 |

Entry 6:
Simulated X-ray diffraction stick pattern of TiMnO3 for copper Kα, from a crystal structure in the Materials Project, relaxed with GGA+U.
Intensities are scaled so that the largest is 100.

Structure:
```
data_TiMnO3
_cell_length_a 3.298
_cell_length_b 5.917
_cell_length_c 6.183
_cell_angle_alpha 101.35
_cell_angle_beta 105.36
_cell_angle_gamma 90.56
_space_group_name_H-M_alt 'P -1'
_space_group_IT_number 2
_space_group_name_Hall '-P 1'
loop_
_atom_site_label
_atom_site_type_symbol
_atom_site_fract_x
_atom_site_fract_y
_atom_site_fract_z
_atom_site_occupancy
Ti1 Ti 0.125 0.426 0.258 1
Mn1 Mn 0.384 0.114 0.781 1
O1 O 0.058 0.691 0.108 1
O2 O 0.282 0.362 0.571 1
O3 O 0.407 0.778 0.800 1
```

Main lines, by intensity (10 to 80 degrees two-theta):
| Position (°2θ) | Rel. int. |
| --- | --- |
| 30.7 | 100 |
| 33.1 | 92 |
| 32.8 | 90 |
| 31.5 | 78 |
| 55.8 | 48 |
| 50.9 | 33 |
| 53.2 | 26 |
| 65.0 | 26 |

Entry 7:
Simulated X-ray diffraction stick pattern of LiVSiO4 for copper Kα, from a crystal structure in the Materials Project, relaxed with GGA+U.
Intensities are scaled so that the largest is 100.

Structure:
```
data_LiVSiO4
_cell_length_a 5.188
_cell_length_b 5.890
_cell_length_c 10.387
_cell_angle_alpha 90.00
_cell_angle_beta 113.84
_cell_angle_gamma 90.00
_space_group_name_H-M_alt 'P 1 21/c 1'
_space_group_IT_number 14
_space_group_name_Hall '-P 2ybc'
loop_
_atom_site_label
_atom_site_type_symbol
_atom_site_fract_x
_atom_site_fract_y
_atom_site_fract_z
_atom_site_occupancy
Li1 Li 0.085 0.133 0.434 1
V1 V 0.457 0.616 0.652 1
Si1 Si 0.103 0.651 0.362 1
O1 O 0.210 0.663 0.989 1
O2 O 0.241 0.135 0.223 1
O3 O 0.251 0.660 0.249 1
O4 O 0.252 0.081 0.952 1
```

Main lines, by intensity (10 to 80 degrees two-theta):
| Position (°2θ) | Rel. int. |
| --- | --- |
| 17.7 | 100 |
| 25.5 | 61 |
| 35.1 | 56 |
| 32.1 | 49 |
| 39.1 | 40 |
| 24.1 | 31 |
| 54.0 | 29 |
| 34.8 | 28 |